Simulated powder diffractogram of Gd2Ni7 for Cu Kα, 1.54184 Å, from DFT lattice parameters and positions (PBE).

Crystal structure
```
Gd2Ni7
1.0
2.474 1.428 12.012
-2.474 1.428 12.012
0.000 -2.856 12.012
Gd Ni
4 14
Cartesian
0.000 0.000 1.834
0.000 0.000 5.307
0.000 0.000 30.730
0.000 0.000 34.203
-1.237 -0.714 12.012
-1.237 -0.714 15.967
0.000 0.000 10.034
0.000 0.000 13.979
0.000 -1.428 20.070
-1.237 0.714 20.070
-1.237 0.714 24.025
0.000 1.428 12.012
0.000 0.000 18.018
1.237 -0.714 15.967
0.000 1.428 15.967
0.000 0.000 22.058
0.000 0.000 26.003
1.237 0.714 20.070
```

Peak list (10 most intense, 5 to 70 degrees two-theta, in order of rising 2θ)
2θ = 32.47°, intensity 42.3; 2θ = 34.46°, intensity 33.0; 2θ = 36.32°, intensity 49.1; 2θ = 42.26°, intensity 35.6; 2θ = 42.98°, intensity 100.0; 2θ = 45.30°, intensity 15.1; 2θ = 46.97°, intensity 11.9; 2θ = 62.92°, intensity 12.7; 2θ = 66.29°, intensity 11.0; 2θ = 69.94°, intensity 22.2